(1)
Ba2CeTaO6: theoretical PXRD pattern (Cu Kα, 1.54184 Å), based on a cell relaxed with GGA-PBE.

Crystal structure
a = 6.109 Å, b = 6.109 Å, c = 6.156 Å
α = 119.96°, β = 119.96°, γ = 60.04°
Positions (direct):
Ba  0.248  0.248  0.245
Ba  0.752  0.752  0.755
Ce  0.000  0.000  0.500
Ta  0.500  0.500  0.000
O  0.239  0.705  0.202
O  0.270  0.270  0.717
O  0.295  0.761  0.798
O  0.705  0.239  0.202
O  0.730  0.730  0.283
O  0.761  0.295  0.798

Largest 6 diffraction maxima, sorted by position, 5 to 70 degrees two-theta:
29.07 deg, rel. 100
29.23 deg, rel. 100
41.64 deg, rel. 37
51.69 deg, rel. 28
51.83 deg, rel. 35
68.55 deg, rel. 18


(2)
Zn3Se3O10: theoretical PXRD pattern (Cu Kα, 1.54184 Å), based on a cell relaxed with GGA-PBE.

Crystal structure
a = 8.201 Å, b = 8.337 Å, c = 8.807 Å
α = 64.47°, β = 68.50°, γ = 68.83°
Positions (direct):
Zn  0.000  0.000  0.000
Zn  0.036  0.660  0.798
Zn  0.180  0.292  0.572
Zn  0.500  0.500  0.500
Zn  0.820  0.708  0.428
Zn  0.964  0.340  0.202
Se  0.203  0.575  0.212
Se  0.329  0.844  0.681
Se  0.342  0.213  0.905
Se  0.658  0.787  0.095
Se  0.671  0.156  0.319
Se  0.797  0.425  0.788
O  0.043  0.771  0.239
O  0.059  0.428  0.330
O  0.137  0.825  0.856
O  0.161  0.094  0.285
O  0.161  0.386  0.967
O  0.256  0.034  0.960
O  0.270  0.054  0.526
O  0.293  0.692  0.617
O  0.311  0.491  0.376
O  0.364  0.301  0.680
O  0.636  0.699  0.320
O  0.689  0.509  0.624
O  0.707  0.308  0.383
O  0.730  0.946  0.474
O  0.744  0.966  0.040
O  0.839  0.614  0.033
O  0.839  0.906  0.715
O  0.863  0.175  0.144
O  0.941  0.572  0.670
O  0.957  0.229  0.761

Largest 6 diffraction maxima, sorted by position, 5 to 70 degrees two-theta:
14.38 deg, rel. 60
27.58 deg, rel. 56
29.96 deg, rel. 71
31.05 deg, rel. 100
32.80 deg, rel. 37
35.96 deg, rel. 28


(3)
La3TiSb5: theoretical PXRD pattern (Cu Kα, 1.54184 Å), based on a cell relaxed with GGA-PBE.

Crystal structure
a = 9.582 Å, b = 9.582 Å, c = 6.327 Å
α = 90.00°, β = 90.00°, γ = 120.00°
Positions (direct):
La  0.000  0.382  0.250
La  0.000  0.618  0.750
La  0.382  0.000  0.250
La  0.382  0.382  0.750
La  0.618  0.000  0.750
La  0.618  0.618  0.250
Ti  0.000  0.000  0.000
Ti  0.000  0.000  0.500
Sb  0.000  0.250  0.750
Sb  0.000  0.750  0.250
Sb  0.250  0.000  0.750
Sb  0.250  0.250  0.250
Sb  0.333  0.667  0.000
Sb  0.333  0.667  0.500
Sb  0.667  0.333  0.000
Sb  0.667  0.333  0.500
Sb  0.750  0.000  0.250
Sb  0.750  0.750  0.750

Largest 6 diffraction maxima, sorted by position, 5 to 70 degrees two-theta:
31.85 deg, rel. 100
32.37 deg, rel. 78
33.96 deg, rel. 97
47.62 deg, rel. 28
52.27 deg, rel. 24
68.31 deg, rel. 19


(4)
B6As: theoretical PXRD pattern (Cu Kα, 1.54184 Å), based on a cell relaxed with GGA-PBE.

Crystal structure
a = 5.334 Å, b = 5.334 Å, c = 5.334 Å
α = 70.55°, β = 70.55°, γ = 70.55°
Positions (direct):
B  0.175  0.485  0.485
B  0.228  0.678  0.678
B  0.322  0.322  0.772
B  0.322  0.772  0.322
B  0.485  0.175  0.485
B  0.485  0.485  0.175
B  0.515  0.515  0.825
B  0.515  0.825  0.515
B  0.678  0.228  0.678
B  0.678  0.678  0.228
B  0.772  0.322  0.322
B  0.825  0.515  0.515
As  0.101  0.101  0.101
As  0.899  0.899  0.899

Largest 6 diffraction maxima, sorted by position, 5 to 70 degrees two-theta:
18.21 deg, rel. 62
22.36 deg, rel. 35
28.98 deg, rel. 67
34.45 deg, rel. 100
45.63 deg, rel. 48
60.07 deg, rel. 41


(5)
Na4YHfSi2PO12: theoretical PXRD pattern (Cu Kα, 1.54184 Å), based on a cell relaxed with GGA-PBE.

Crystal structure
a = 9.337 Å, b = 9.337 Å, c = 9.324 Å
α = 119.86°, β = 119.86°, γ = 60.28°
Positions (direct):
Na  0.057  0.943  0.500
Na  0.171  0.689  0.107
Na  0.285  0.436  0.727
Na  0.436  0.285  0.227
Na  0.567  0.805  0.357
Na  0.689  0.171  0.607
Na  0.805  0.567  0.857
Na  0.943  0.057  0.000
Y  0.329  0.836  0.964
Y  0.836  0.329  0.464
Hf  0.034  0.534  0.264
Hf  0.534  0.034  0.764
Si  0.134  0.234  0.870
Si  0.234  0.134  0.370
Si  0.732  0.925  0.160
Si  0.925  0.732  0.660
P  0.424  0.639  0.563
P  0.639  0.424  0.063
O  0.064  0.152  0.392
O  0.093  0.755  0.840
O  0.123  0.410  0.049
O  0.152  0.064  0.892
O  0.192  0.314  0.337
O  0.256  0.627  0.398
O  0.268  0.951  0.209
O  0.314  0.192  0.837
O  0.400  0.654  0.722
O  0.410  0.123  0.549
O  0.455  0.807  0.602
O  0.470  0.577  0.027
O  0.568  0.892  0.140
O  0.577  0.470  0.527
O  0.627  0.256  0.898
O  0.654  0.400  0.222
O  0.691  0.957  0.980
O  0.750  0.912  0.676
O  0.755  0.093  0.340
O  0.807  0.455  0.102
O  0.892  0.568  0.640
O  0.912  0.750  0.176
O  0.951  0.268  0.709
O  0.957  0.691  0.480

Largest 6 diffraction maxima, sorted by position, 5 to 70 degrees two-theta:
13.40 deg, rel. 35
18.98 deg, rel. 100
30.24 deg, rel. 33
30.29 deg, rel. 54
33.16 deg, rel. 58
45.57 deg, rel. 30


(6)
Tc3Pt: theoretical PXRD pattern (Cu Kα, 1.54184 Å), based on a cell relaxed with GGA-PBE.

Crystal structure
a = 5.555 Å, b = 5.555 Å, c = 4.400 Å
α = 90.00°, β = 90.00°, γ = 120.00°
Positions (direct):
Tc  0.159  0.318  0.250
Tc  0.159  0.841  0.250
Tc  0.318  0.159  0.750
Tc  0.682  0.841  0.250
Tc  0.841  0.159  0.750
Tc  0.841  0.682  0.750
Pt  0.333  0.667  0.750
Pt  0.667  0.333  0.250

Largest 6 diffraction maxima, sorted by position, 5 to 70 degrees two-theta:
27.47 deg, rel. 14
37.39 deg, rel. 24
41.02 deg, rel. 25
42.85 deg, rel. 100
56.70 deg, rel. 14
67.44 deg, rel. 17


(7)
Sm2MgPtO6: theoretical PXRD pattern (Cu Kα, 1.54184 Å), based on a cell relaxed with GGA-PBE.

Crystal structure
a = 5.457 Å, b = 5.760 Å, c = 9.523 Å
α = 90.00°, β = 124.66°, γ = 90.00°
Positions (direct):
Sm  0.232  0.067  0.251
Sm  0.232  0.433  0.751
Sm  0.768  0.567  0.249
Sm  0.768  0.933  0.749
Mg  0.500  0.000  0.000
Mg  0.500  0.500  0.500
Pt  0.000  0.000  0.500
Pt  0.000  0.500  0.000
O  0.135  0.202  0.943
O  0.135  0.298  0.443
O  0.249  0.698  0.946
O  0.249  0.802  0.446
O  0.357  0.038  0.748
O  0.357  0.462  0.248
O  0.643  0.538  0.752
O  0.643  0.962  0.252
O  0.751  0.198  0.554
O  0.751  0.302  0.054
O  0.865  0.702  0.557
O  0.865  0.798  0.057

Largest 6 diffraction maxima, sorted by position, 5 to 70 degrees two-theta:
19.13 deg, rel. 47
19.81 deg, rel. 44
31.05 deg, rel. 40
32.08 deg, rel. 100
32.20 deg, rel. 99
32.82 deg, rel. 48


(8)
RhI3: theoretical PXRD pattern (Cu Kα, 1.54184 Å), based on a cell relaxed with GGA-PBE.

Crystal structure
a = 6.930 Å, b = 6.930 Å, c = 7.251 Å
α = 99.22°, β = 99.22°, γ = 119.91°
Positions (direct):
Rh  0.167  0.833  0.000
Rh  0.833  0.167  0.000
I  0.069  0.426  0.779
I  0.218  0.218  0.221
I  0.426  0.069  0.779
I  0.574  0.931  0.221
I  0.782  0.782  0.779
I  0.931  0.574  0.221

Largest 6 diffraction maxima, sorted by position, 5 to 70 degrees two-theta:
12.89 deg, rel. 40
27.14 deg, rel. 45
31.09 deg, rel. 100
43.78 deg, rel. 33
45.31 deg, rel. 34
55.97 deg, rel. 18